This entry pairs a crystal structure of KUIn2F8 with its simulated powder X-ray diffraction pattern. Radiation: Cu Kα X-rays. Structure: a cell relaxed with GGA-PBE.

Most intense lines, 10° ≤ 2θ ≤ 90°, in order of falling intensity:
| hkl | 2theta | intensity |
| --- | --- | --- |
| 1 0 1 | 25.59 | 100 |
| 0 2 1 | 24.68 | 90 |
| 1 2 2 | 40.65 | 74 |
| 0 1 1 | 16.72 | 71 |
| 0 1 0 | 10.38 | 36 |
| 1 1 0 | 24.29 | 28 |
| 1 2 0 | 30.42 | 27 |
| 0 0 2 | 26.31 | 24 |
| 2 2 -1 | 51.69 | 24 |
| 1 4 1 | 50.21 | 21 |

Crystal structure
```
data_KUIn2F8
_cell_length_a 4.0577
_cell_length_b 8.5218
_cell_length_c 6.7750
_cell_angle_alpha 90.00
_cell_angle_beta 90.08
_cell_angle_gamma 90.00
_space_group_name_H-M_alt 'P 1 2/m 1'
_space_group_IT_number 10
loop_
_space_group_symop_operation_xyz
'x,y,z'
'-x,-y,-z'
'-x,y,-z'
'x,-y,z'
loop_
_atom_site_label
_atom_site_fract_x
_atom_site_fract_y
_atom_site_fract_z
K1 0.0000 0.0000 0.0000
U1 0.0000 0.5000 0.0000
In1 0.5000 0.2178 0.5000
F1 0.0004 0.3039 0.1931
F2 0.4988 0.0000 0.7187
F3 0.5004 0.5000 0.1742
```